Entry 1:
For KPaAg2S4, a PBE-relaxed structure gives the computed powder X-ray diffraction pattern in this record (a wavelength of 1.5418 Å).

Crystal structure
```
KPaAg2S4
1.0
-3.3996 3.6943 4.1579
3.3996 -3.6943 4.1579
3.3996 3.6943 -4.1579
K Pa Ag S
1 1 2 4
direct
0.0000 0.0000 0.0000 K
0.5000 0.5000 0.0000 Pa
0.3235 0.8235 0.5000 Ag
0.6765 0.1765 0.5000 Ag
0.1196 0.1093 0.5849 S
0.4756 0.8907 0.0104 S
0.5244 0.5348 0.4151 S
0.8804 0.4652 0.9896 S
```

Principal peaks in the range 2θ = 10–90°, most intense first:
27.90 deg, I 100; 16.05 deg, I 99; 35.90 deg, I 53; 47.33 deg, I 42; 42.90 deg, I 35; 30.89 deg, I 34; 24.09 deg, I 30; 44.80 deg, I 29; 26.21 deg, I 24; 34.96 deg, I 23

Entry 2:
For Tb2TaNbN5, a PBE-relaxed structure gives the computed powder X-ray diffraction pattern in this record (a wavelength of 1.5418 Å).

Crystal structure
```
Tb2TaNbN5
1.0
1.6650 -6.6714 0.0000
1.6650 6.6714 0.0000
0.0000 0.0000 10.4216
Tb Ta Nb N
4 2 2 10
direct
0.1064 0.8936 0.5000 Tb
0.1449 0.8551 0.0961 Tb
0.8551 0.1449 0.5961 Tb
0.8936 0.1064 0.0000 Tb
0.2242 0.7758 0.8223 Ta
0.7758 0.2242 0.3223 Ta
0.4702 0.5298 0.2710 Nb
0.5298 0.4702 0.7710 Nb
0.0568 0.9432 0.8684 N
0.2782 0.7218 0.4578 N
0.3126 0.6874 0.1917 N
0.3721 0.6279 0.8133 N
0.4922 0.5078 0.5896 N
0.5078 0.4922 0.0896 N
0.6279 0.3721 0.3133 N
0.6874 0.3126 0.6917 N
0.7218 0.2782 0.9578 N
0.9432 0.0568 0.3684 N
```

Principal peaks in the range 2θ = 10–90°, most intense first:
31.85 deg, I 100; 38.04 deg, I 97; 28.97 deg, I 89; 32.61 deg, I 69; 33.62 deg, I 66; 34.74 deg, I 61; 41.52 deg, I 34; 56.01 deg, I 32; 34.42 deg, I 28; 55.17 deg, I 27

Entry 3:
For CsGaBP2HO9, a PBE-relaxed structure gives the computed powder X-ray diffraction pattern in this record (a wavelength of 1.5418 Å).

Crystal structure
```
CsGaBP2HO9
1.0
9.4786 0.0000 0.0000
0.0000 8.8757 0.0000
-2.4513 0.0000 9.4527
Cs Ga B P H O
4 4 4 8 4 36
direct
0.1974 0.1188 0.0582 Cs
0.1974 0.3812 0.5582 Cs
0.8026 0.6188 0.4418 Cs
0.8026 0.8812 0.9418 Cs
0.1946 0.6589 0.9331 Ga
0.1946 0.8411 0.4331 Ga
0.8054 0.1589 0.5669 Ga
0.8054 0.3411 0.0669 Ga
0.3445 0.0317 0.7013 B
0.3445 0.4683 0.2013 B
0.6555 0.5317 0.7987 B
0.6555 0.9683 0.2987 B
0.0718 0.5699 0.2054 P
0.0718 0.9301 0.7054 P
0.4135 0.7257 0.7219 P
0.4135 0.7743 0.2219 P
0.5865 0.2257 0.7781 P
0.5865 0.2743 0.2781 P
0.9282 0.0699 0.2946 P
0.9282 0.4301 0.7946 P
0.3947 0.0419 0.5048 H
0.3947 0.4581 0.0048 H
0.6053 0.5419 0.9952 H
0.6053 0.9581 0.4952 H
0.0694 0.5185 0.8046 O
0.0694 0.9815 0.3046 O
0.0722 0.6597 0.0711 O
0.0722 0.8403 0.5711 O
0.0904 0.6687 0.3385 O
0.0904 0.8313 0.8385 O
0.2036 0.0467 0.7365 O
0.2036 0.4533 0.2365 O
0.3103 0.0269 0.5430 O
0.3103 0.4731 0.0430 O
0.3364 0.7081 0.5654 O
0.3364 0.7919 0.0654 O
0.3435 0.6347 0.8208 O
0.3435 0.8653 0.3208 O
0.4247 0.1705 0.7551 O
0.4247 0.3295 0.2551 O
0.4301 0.6029 0.2651 O
0.4301 0.8971 0.7651 O
0.5699 0.1029 0.2349 O
0.5699 0.3971 0.7349 O
0.5753 0.6705 0.7449 O
0.5753 0.8295 0.2449 O
0.6565 0.1347 0.6792 O
0.6565 0.3653 0.1792 O
0.6636 0.2081 0.9346 O
0.6636 0.2919 0.4346 O
0.6897 0.5269 0.9570 O
0.6897 0.9731 0.4570 O
0.7964 0.5467 0.7635 O
0.7964 0.9533 0.2635 O
0.9096 0.1687 0.1615 O
0.9096 0.3313 0.6615 O
0.9278 0.1597 0.4289 O
0.9278 0.3403 0.9289 O
0.9306 0.0185 0.6954 O
0.9306 0.4815 0.1954 O
```

Principal peaks in the range 2θ = 10–90°, most intense first:
25.13 deg, I 100; 29.34 deg, I 38; 23.39 deg, I 31; 23.20 deg, I 29; 18.83 deg, I 28; 31.12 deg, I 26; 19.35 deg, I 25; 21.30 deg, I 25; 30.10 deg, I 22; 43.30 deg, I 21

Entry 4:
For Rb2PdCl7, a PBE-relaxed structure gives the computed powder X-ray diffraction pattern in this record (a wavelength of 1.5418 Å).

Crystal structure
```
Rb2PdCl7
1.0
5.8541 -5.0666 0.0000
5.8541 5.0666 0.0000
-0.3862 0.0000 11.0678
Rb Pd Cl
4 2 14
direct
0.1995 0.2127 0.0349 Rb
0.2127 0.1995 0.5349 Rb
0.7873 0.8005 0.4651 Rb
0.8005 0.7873 0.9651 Rb
0.2715 0.7285 0.2500 Pd
0.7285 0.2715 0.7500 Pd
0.0257 0.9743 0.2500 Cl
0.1047 0.5223 0.3194 Cl
0.2149 0.6444 0.0507 Cl
0.2274 0.5979 0.7396 Cl
0.3556 0.7851 0.4493 Cl
0.4021 0.7726 0.7604 Cl
0.4777 0.8953 0.1806 Cl
0.5223 0.1047 0.8194 Cl
0.5979 0.2274 0.2396 Cl
0.6444 0.2149 0.5507 Cl
0.7726 0.4021 0.2604 Cl
0.7851 0.3556 0.9493 Cl
0.8953 0.4777 0.6806 Cl
0.9743 0.0257 0.7500 Cl
```

Principal peaks in the range 2θ = 10–90°, most intense first:
23.81 deg, I 100; 23.22 deg, I 86; 22.50 deg, I 64; 27.48 deg, I 59; 13.91 deg, I 57; 40.66 deg, I 50; 14.21 deg, I 43; 21.72 deg, I 38; 35.43 deg, I 38; 32.36 deg, I 36

Entry 5:
For BAuF, a PBE-relaxed structure gives the computed powder X-ray diffraction pattern in this record (a wavelength of 1.5418 Å).

Crystal structure
```
BAuF
1.0
2.8703 0.0000 0.0000
-1.2124 5.8922 0.0000
-0.2995 -2.8885 6.1400
B Au F
2 2 2
direct
0.0126 0.0151 0.1318 B
0.9874 0.9849 0.8682 B
0.3412 0.6836 0.6777 Au
0.6588 0.3164 0.3223 Au
0.0651 0.1789 0.8129 F
0.9349 0.8211 0.1871 F
```

Principal peaks in the range 2θ = 10–90°, most intense first:
16.75 deg, I 100; 39.95 deg, I 24; 42.31 deg, I 20; 36.82 deg, I 20; 33.87 deg, I 20; 14.43 deg, I 19; 37.31 deg, I 18; 29.09 deg, I 14; 39.62 deg, I 13; 40.85 deg, I 12

Entry 6:
For CsY, a PBE-relaxed structure gives the computed powder X-ray diffraction pattern in this record (a wavelength of 1.5418 Å).

Crystal structure
```
CsY
1.0
15.2118 0.0000 0.0000
0.0000 3.8997 0.0000
0.0000 0.0000 15.5045
Cs Y
8 8
direct
0.1118 0.2500 0.2102 Cs
0.1643 0.7500 0.9242 Cs
0.3357 0.2500 0.4242 Cs
0.3882 0.7500 0.7103 Cs
0.6118 0.2500 0.2898 Cs
0.6643 0.7500 0.5758 Cs
0.8357 0.2500 0.0758 Cs
0.8882 0.7500 0.7897 Cs
0.0794 0.7500 0.4620 Y
0.1206 0.2500 0.6409 Y
0.3794 0.7500 0.1409 Y
0.4206 0.2500 0.9620 Y
0.5794 0.7500 0.0380 Y
0.6206 0.2500 0.8591 Y
0.8794 0.7500 0.3591 Y
0.9206 0.2500 0.5380 Y
```

Principal peaks in the range 2θ = 10–90°, most intense first:
28.17 deg, I 100; 26.24 deg, I 72; 23.69 deg, I 62; 20.78 deg, I 60; 23.39 deg, I 59; 31.15 deg, I 48; 37.54 deg, I 30; 29.00 deg, I 27; 41.21 deg, I 25; 46.18 deg, I 21

Entry 7:
For SrZnCu3, a PBE-relaxed structure gives the computed powder X-ray diffraction pattern in this record (a wavelength of 1.5418 Å).

Crystal structure
```
SrZnCu3
1.0
-2.4874 4.5698 4.2863
2.4874 -4.5698 4.2863
2.4874 4.5698 -4.2863
Sr Zn Cu
2 2 6
direct
0.3067 0.0567 0.2500 Sr
0.6933 0.9433 0.7500 Sr
0.0000 0.5000 0.5000 Zn
0.5000 0.5000 0.0000 Zn
0.0779 0.3279 0.7500 Cu
0.2227 0.0000 0.7227 Cu
0.2227 0.5000 0.2227 Cu
0.7773 0.0000 0.2773 Cu
0.7773 0.5000 0.7773 Cu
0.9221 0.6721 0.2500 Cu
```

Principal peaks in the range 2θ = 10–90°, most intense first:
28.50 deg, I 100; 29.19 deg, I 67; 41.45 deg, I 64; 39.44 deg, I 63; 42.00 deg, I 53; 41.33 deg, I 45; 14.16 deg, I 41; 46.66 deg, I 40; 46.82 deg, I 31; 58.97 deg, I 28

Entry 8:
For Li2Bi2B2O7, a PBE-relaxed structure gives the computed powder X-ray diffraction pattern in this record (a wavelength of 1.5418 Å).

Crystal structure
```
Li2Bi2B2O7
1.0
9.9902 0.0000 0.0000
0.0000 6.7539 0.0000
-4.8635 0.0000 9.5009
Li Bi B O
8 8 8 28
direct
0.0111 0.1025 0.2040 Li
0.0111 0.3975 0.7040 Li
0.1264 0.2046 0.0489 Li
0.1264 0.2954 0.5489 Li
0.8736 0.7046 0.4511 Li
0.8736 0.7954 0.9511 Li
0.9889 0.6025 0.2960 Li
0.9889 0.8975 0.7960 Li
0.3016 0.5698 0.9191 Bi
0.3016 0.9302 0.4191 Bi
0.4990 0.5382 0.3110 Bi
0.4990 0.9618 0.8110 Bi
0.5010 0.0382 0.1890 Bi
0.5010 0.4618 0.6890 Bi
0.6984 0.0698 0.5809 Bi
0.6984 0.4302 0.0809 Bi
0.1700 0.7133 0.5793 B
0.1700 0.7867 0.0793 B
0.2655 0.1394 0.8478 B
0.2655 0.3606 0.3478 B
0.7345 0.6394 0.6522 B
0.7345 0.8606 0.1522 B
0.8300 0.2133 0.9207 B
0.8300 0.2867 0.4207 B
0.0687 0.7182 0.9498 O
0.0687 0.7818 0.4498 O
0.1389 0.5732 0.6550 O
0.1389 0.9268 0.1550 O
0.1660 0.2444 0.8786 O
0.1660 0.2556 0.3786 O
0.3209 0.2150 0.7581 O
0.3209 0.2850 0.2581 O
0.3213 0.7137 0.1308 O
0.3213 0.7863 0.6308 O
0.3258 0.5446 0.4074 O
0.3258 0.9554 0.9074 O
0.4829 0.1178 0.6002 O
0.4829 0.3822 0.1002 O
0.5171 0.6178 0.8998 O
0.5171 0.8822 0.3998 O
0.6742 0.0446 0.0926 O
0.6742 0.4554 0.5926 O
0.6787 0.2137 0.3692 O
0.6787 0.2863 0.8692 O
0.6791 0.7150 0.7419 O
0.6791 0.7850 0.2419 O
0.8340 0.7444 0.6214 O
0.8340 0.7556 0.1214 O
0.8611 0.0732 0.8450 O
0.8611 0.4268 0.3450 O
0.9313 0.2182 0.5502 O
0.9313 0.2818 0.0502 O
```

Principal peaks in the range 2θ = 10–90°, most intense first:
28.28 deg, I 100; 28.49 deg, I 98; 29.28 deg, I 55; 24.95 deg, I 54; 27.25 deg, I 52; 30.23 deg, I 44; 22.14 deg, I 41; 33.30 deg, I 40; 26.39 deg, I 37; 38.30 deg, I 36